Structure and theoretical powder X-ray diffraction pattern of LiCeMg2Zn2 (the GGA-PBE geometry in Alexandria; Cu Kα, 1.54184 Å).
No peak broadening, texture or thermal motion is included.

Structure:
a = 4.762 Å, b = 4.762 Å, c = 6.361 Å
α = 90.00°, β = 90.00°, γ = 120.00°
Positions (direct):
Li 0.000 0.000 0.000
Ce 0.000 0.000 0.500
Mg 0.333 0.667 0.177
Mg 0.667 0.333 0.823
Zn 0.333 0.667 0.720
Zn 0.667 0.333 0.280

Peak list (10 most intense, 2θ from 10° to 80°, most intense first)
d_spacing	intensity
2.518	100.0
3.460	97.7
2.381	84.5
6.361	52.1
1.730	31.6
1.400	30.6
2.230	23.1
1.886	22.4
1.961	19.9
1.514	17.0



Structure and theoretical powder X-ray diffraction pattern of LiCe3N4 (the GGA-PBE geometry in Alexandria; Cu Kα, 1.54184 Å).
No peak broadening, texture or thermal motion is included.

Structure:
a = 4.922 Å, b = 4.922 Å, c = 4.922 Å
α = 90.00°, β = 90.00°, γ = 90.00°
Positions (direct):
Li 0.000 0.000 0.000
Ce 0.000 0.500 0.500
Ce 0.500 0.000 0.500
Ce 0.500 0.500 0.000
N 0.000 0.000 0.500
N 0.000 0.500 0.000
N 0.500 0.000 0.000
N 0.500 0.500 0.500

Peak list (10 most intense, 2θ from 10° to 80°, most intense first)
d_spacing	intensity
2.842	100.0
2.461	85.1
1.740	57.4
1.484	45.3
4.922	39.4
3.480	34.2
2.201	19.5
1.421	19.1
2.009	14.8
1.641	9.7



Structure and theoretical powder X-ray diffraction pattern of LiCeSN (the GGA-PBE geometry in Alexandria; Cu Kα, 1.54184 Å).
No peak broadening, texture or thermal motion is included.

Structure:
a = 6.289 Å, b = 6.289 Å, c = 6.289 Å
α = 149.81°, β = 149.81°, γ = 43.22°
Positions (direct):
Li 0.000 0.000 0.000
Ce 0.272 0.272 0.000
S 0.585 0.585 0.000
N 0.830 0.830 0.000

Peak list (10 most intense, 2θ from 10° to 80°, most intense first)
d_spacing	intensity
5.847	100.0
2.508	92.4
3.154	80.4
2.316	47.7
2.153	31.9
2.923	29.4
1.815	28.6
1.371	27.3
1.903	18.9
1.488	17.9



Structure and theoretical powder X-ray diffraction pattern of LiCeSbN (the GGA-PBE geometry in Alexandria; Cu Kα, 1.54184 Å).
No peak broadening, texture or thermal motion is included.

Structure:
a = 7.541 Å, b = 7.541 Å, c = 7.541 Å
α = 154.87°, β = 154.87°, γ = 35.84°
Positions (direct):
Li 0.000 0.000 0.000
Ce 0.318 0.318 0.000
Sb 0.624 0.624 0.000
N 0.863 0.863 0.000

Peak list (10 most intense, 2θ from 10° to 80°, most intense first)
d_spacing	intensity
2.706	100.0
3.199	44.4
2.320	40.2
3.587	37.0
7.175	30.8
1.403	26.2
1.948	26.2
1.739	23.6
1.665	18.3
2.392	13.9